The following is a simulated powder X-ray diffraction pattern of Li2V5NiO12. It was derived from a GGA+U-relaxed structure, using Cu Ka.

The 6 most intense peaks (15 to 90 degrees two-theta), by angle:
2θ (°)  I/Imax
19.03  31
28.40  100
28.61  47
34.74  34
40.68  24
52.76  24

Crystal structure
a b c (Å): 10.8908 8.6104 5.6012
angles (deg): 90.00 112.78 90.00
Space group C2 (No. 5)
One atom of each set of equivalent atoms:
Li  0.0000  0.0000  0.0000 (multiplicity 2)
Li  0.0000  0.4584  0.5000 (multiplicity 2)
V  0.0000  0.6432  0.0000 (multiplicity 2)
V  0.2135  0.1329  0.5089 (multiplicity 4)
V  0.2269  0.3365  0.0468 (multiplicity 4)
Ni  0.0000  0.8156  0.5000 (multiplicity 2)
O  0.0895  0.8236  0.8973 (multiplicity 4)
O  0.1106  0.6382  0.3962 (multiplicity 4)
O  0.1191  0.5139  0.9387 (multiplicity 4)
O  0.1420  0.1700  0.1743 (multiplicity 4)
O  0.1536  0.2633  0.6719 (multiplicity 4)
O  0.1714  0.9450  0.5613 (multiplicity 4)


The following is a simulated powder X-ray diffraction pattern of MgTi2Fe4O8. It was derived from a GGA+U-relaxed structure, using Cu Ka.

The 6 most intense peaks (15 to 90 degrees two-theta), by angle:
2θ (°)  I/Imax
32.93  67
33.42  100
34.47  57
34.67  68
40.81  58
43.07  55

Crystal structure
a b c (Å): 5.9477 5.9943 6.2594
angles (deg): 93.02 113.83 119.14
Space group P-1 (No. 2)
One atom of each set of equivalent atoms:
Mg  0.0000  0.0000  0.0000 (multiplicity 1)
Ti  0.0000  0.5000  0.0000 (multiplicity 1)
Ti  0.5000  0.5000  0.0000 (multiplicity 1)
Fe  0.0000  0.5000  0.5000 (multiplicity 1)
Fe  0.2822  0.1434  0.4627 (multiplicity 2)
Fe  0.5000  0.0000  0.0000 (multiplicity 1)
O  0.0118  0.7407  0.7645 (multiplicity 2)
O  0.0295  0.2462  0.7770 (multiplicity 2)
O  0.4360  0.7217  0.1974 (multiplicity 2)
O  0.4690  0.2577  0.2157 (multiplicity 2)


The following is a simulated powder X-ray diffraction pattern of CaV2O4. It was derived from a GGA+U-relaxed structure, using Cu Ka.

The 6 most intense peaks (15 to 90 degrees two-theta), by angle:
2θ (°)  I/Imax
15.85  100
32.01  20
37.88  29
42.12  17
47.49  27
47.60  27

Crystal structure
a b c (Å): 5.2447 6.0463 11.1837
angles (deg): 90.54 90.13 90.76
Space group P1 (No. 1)
One atom of each set of equivalent atoms:
Ca  0.0000  0.0000  0.0000 (multiplicity 1)
Ca  0.0618  0.5102  0.5003 (multiplicity 1)
Ca  0.3768  0.5108  0.9994 (multiplicity 1)
Ca  0.6826  0.0085  0.4996 (multiplicity 1)
V  0.0175  0.5070  0.7610 (multiplicity 1)
V  0.0252  0.5087  0.2395 (multiplicity 1)
V  0.0344  0.0073  0.7389 (multiplicity 1)
V  0.0417  0.0054  0.2605 (multiplicity 1)
V  0.5260  0.2564  0.7502 (multiplicity 1)
V  0.5261  0.7570  0.7490 (multiplicity 1)
V  0.5374  0.2608  0.2500 (multiplicity 1)
V  0.5369  0.7582  0.2486 (multiplicity 1)
O  0.1872  0.7555  0.8540 (multiplicity 1)
O  0.1903  0.2485  0.8531 (multiplicity 1)
O  0.2003  0.2552  0.1503 (multiplicity 1)
O  0.1997  0.7617  0.1442 (multiplicity 1)
O  0.3455  0.5031  0.6613 (multiplicity 1)
O  0.3500  0.5175  0.3391 (multiplicity 1)
O  0.3697  0.0020  0.6507 (multiplicity 1)
O  0.3802  0.0077  0.3470 (multiplicity 1)
O  0.6821  0.5126  0.8476 (multiplicity 1)
O  0.6916  0.5091  0.1492 (multiplicity 1)
O  0.7074  0.0091  0.8383 (multiplicity 1)
O  0.7210  0.0049  0.1602 (multiplicity 1)
O  0.8601  0.2622  0.3538 (multiplicity 1)
O  0.8614  0.2658  0.6470 (multiplicity 1)
O  0.8665  0.7585  0.6448 (multiplicity 1)
O  0.8789  0.7542  0.3533 (multiplicity 1)


The following is a simulated powder X-ray diffraction pattern of Li3Fe2Si2O8. It was derived from a GGA+U-relaxed structure, using Cu Ka.

The 6 most intense peaks (15 to 90 degrees two-theta), by angle:
2θ (°)  I/Imax
15.83  79
21.69  100
23.21  96
23.33  93
31.97  94
34.27  93

Crystal structure
a b c (Å): 5.2329 6.5884 10.6169
angles (deg): 90.00 90.59 90.00
Space group Pc (No. 7)
One atom of each set of equivalent atoms:
Li  0.0000  0.9998  0.0000 (multiplicity 2)
Li  0.3988  0.2482  0.4243 (multiplicity 2)
Li  0.8754  0.2475  0.7424 (multiplicity 2)
Fe  0.3859  0.2675  0.9102 (multiplicity 2)
Fe  0.8803  0.2674  0.2496 (multiplicity 2)
Si  0.3810  0.0085  0.1756 (multiplicity 2)
Si  0.8844  0.4972  0.9933 (multiplicity 2)
O  0.0037  0.2897  0.9251 (multiplicity 2)
O  0.0048  0.2917  0.4276 (multiplicity 2)
O  0.0620  0.0186  0.1922 (multiplicity 2)
O  0.4217  0.0176  0.0198 (multiplicity 2)
O  0.4901  0.2013  0.7389 (multiplicity 2)
O  0.5194  0.2018  0.2488 (multiplicity 2)
O  0.5747  0.4987  0.9676 (multiplicity 2)
O  0.9504  0.4995  0.1462 (multiplicity 2)


The following is a simulated powder X-ray diffraction pattern of Li10Cr3Co2Ni3O16. It was derived from a GGA+U-relaxed structure, using Cu Ka.

The 6 most intense peaks (15 to 90 degrees two-theta), by angle:
2θ (°)  I/Imax
18.44  60
19.65  100
19.77  51
25.40  30
36.30  29
45.40  93

Crystal structure
a b c (Å): 5.8738 5.8841 9.6233
angles (deg): 89.65 89.79 60.50
Space group P1 (No. 1)
One atom of each set of equivalent atoms:
Li  0.0000  0.0000  0.0000 (multiplicity 1)
Li  0.0033  0.4295  0.9918 (multiplicity 1)
Li  0.1284  0.1728  0.2227 (multiplicity 1)
Li  0.1856  0.6176  0.4909 (multiplicity 1)
Li  0.4038  0.0147  0.9940 (multiplicity 1)
Li  0.4502  0.4930  0.7220 (multiplicity 1)
Li  0.6000  0.2112  0.4929 (multiplicity 1)
Li  0.6114  0.6219  0.4939 (multiplicity 1)
Li  0.7903  0.8213  0.9262 (multiplicity 1)
Li  0.7956  0.8310  0.4199 (multiplicity 1)
Cr  0.4516  0.9930  0.7244 (multiplicity 1)
Cr  0.6283  0.1710  0.2246 (multiplicity 1)
Cr  0.9613  0.9927  0.7251 (multiplicity 1)
Co  0.1269  0.1633  0.4697 (multiplicity 1)
Co  0.4642  0.4918  0.9709 (multiplicity 1)
Ni  0.1404  0.6558  0.2265 (multiplicity 1)
Ni  0.6320  0.6566  0.2256 (multiplicity 1)
Ni  0.9607  0.4846  0.7260 (multiplicity 1)
O  0.1278  0.6610  0.8530 (multiplicity 1)
O  0.1304  0.1468  0.8426 (multiplicity 1)
O  0.2790  0.8482  0.5985 (multiplicity 1)
O  0.2850  0.3048  0.5980 (multiplicity 1)
O  0.3205  0.3286  0.0959 (multiplicity 1)
O  0.3219  0.7841  0.0958 (multiplicity 1)
O  0.4560  0.0090  0.3492 (multiplicity 1)
O  0.4692  0.4867  0.3424 (multiplicity 1)
O  0.6153  0.6622  0.8492 (multiplicity 1)
O  0.6241  0.1569  0.8439 (multiplicity 1)
O  0.7755  0.3321  0.0933 (multiplicity 1)
O  0.7866  0.8322  0.6141 (multiplicity 1)
O  0.7995  0.8350  0.1188 (multiplicity 1)
O  0.8246  0.3020  0.5966 (multiplicity 1)
O  0.9597  0.0091  0.3481 (multiplicity 1)
O  0.9689  0.4896  0.3552 (multiplicity 1)